Starting from DFT lattice parameters and positions (GGA-PBE), the X-ray diffraction stick pattern of NdDyY2Tl2 was simulated for Cu Kα (λ = 1.5418 Å).
Kinematic intensities with the Lorentz-polarization factor, no thermal factor.

Peak list (10 most intense, 2θ from 10° to 90°, low angle first)
| index | 2θ (°) | Rel. int. |
| --- | --- | --- |
| 1 0 2 | 31.30 | 58 |
| 0 2 2 | 31.50 | 20 |
| 1 3 0 | 31.82 | 100 |
| 1 1 2 | 32.57 | 84 |
| 1 3 1 | 34.46 | 42 |
| 2 0 0 | 34.90 | 60 |
| 0 3 2 | 37.43 | 24 |
| 1 3 2 | 41.51 | 23 |
| 2 3 2 | 52.10 | 19 |
| 0 6 1 | 56.40 | 18 |

Structure:
Lattice parameters (Å, degrees): 5.141 10.078 6.875 90.00 90.00 90.00
Fractional coordinates of all 12 atoms:
Nd (0.000, 0.044, 0.000)
Nd (0.000, 0.956, 0.500)
Dy (0.500, 0.191, 0.722)
Dy (0.500, 0.809, 0.222)
Y (0.000, 0.317, 0.380)
Y (0.000, 0.683, 0.880)
Y (0.500, 0.455, 0.094)
Y (0.500, 0.545, 0.594)
Tl (0.000, 0.368, 0.839)
Tl (0.000, 0.632, 0.339)
Tl (0.500, 0.137, 0.263)
Tl (0.500, 0.863, 0.763)